# HoMgV2O6
Calculated powder X-ray diffraction pattern, CuKα. Input: a PBE+U-relaxed structure.
Lines closer than 0.1° are merged.

The 12 most intense peaks (2θ = 10–90°), by angle:
(0 1 1), 2θ 19.99, rel. 445
(1 0 -1), 2θ 20.67, rel. 507
(-1 1 1), 2θ 26.36, rel. 176
(0 2 0), 2θ 32.70, rel. 185
(1 1 -2), 2θ 33.48, rel. 1000
(2 0 0), 2θ 34.41, rel. 226
(1 0 -3), 2θ 39.60, rel. 118
(2 -1 1), 2θ 40.10, rel. 154
(0 0 4), 2θ 47.95, rel. 153
(2 2 0), 2θ 48.28, rel. 98
(2 0 4), 2θ 60.35, rel. 121
(-3 1 2), 2θ 61.03, rel. 186

Cell and atoms:
```
HoMgV2O6
1.0
5.2121 0.0000 0.0000
-0.0162 5.4770 0.0000
-0.0013 -0.0150 7.5883
Ho Mg V O
2 2 4 12
Direct
0.0000 0.0000 0.0000 Ho
0.4989 0.6367 0.4988 Ho
0.0243 0.1197 0.4974 Mg
0.5310 0.5123 0.9956 Mg
0.0150 0.5579 0.2492 V
0.0165 0.5606 0.7498 V
0.5128 0.0723 0.2490 V
0.5163 0.0758 0.7490 V
0.1485 0.6107 0.0029 O
0.1839 0.8630 0.3109 O
0.1974 0.8836 0.6872 O
0.3111 0.3626 0.3209 O
0.3138 0.3899 0.6975 O
0.4050 0.1299 0.0003 O
0.6417 0.0263 0.4981 O
0.6974 0.7561 0.1854 O
0.7161 0.7485 0.8092 O
0.8267 0.2670 0.8130 O
0.8300 0.2780 0.1883 O
0.8998 0.5066 0.5010 O
```